This entry pairs a crystal structure of Sr5Ca3Mn7FeO24 with its computed powder diffractogram. Radiation: Cu Kα X-rays. Structure: a crystal structure in Alexandria, relaxed with GGA+U.
Peak positions follow from Bragg's law for the DFT cell and can differ from measured ones.

Peak list (10 most intense, 15° ≤ 2θ ≤ 90°, by intensity)
| hkl | two_theta | d [Å] | I/Imax |
| --- | --- | --- | --- |
| 4 0 0 | 32.78 | 2.732 | 100 |
| 4 4 0 | 47.03 | 1.932 | 42 |
| 4 0 4 | 58.51 | 1.578 | 37 |
| 8 0 0 | 68.70 | 1.366 | 24 |
| 8 4 0 | 78.23 | 1.222 | 15 |
| 4 0 2 | 40.43 | 2.231 | 12 |
| 8 0 4 | 87.43 | 1.116 | 8 |
| 2 2 1 | 25.77 | 3.457 | 4 |
| 8 4 2 | 82.85 | 1.165 | 3 |
| 0 0 3 | 34.83 | 2.576 | 3 |

Crystal structure
Cell lengths 10.9322, 10.9322, 7.7252 Å; angles 90.00, 90.01, 90.00 degrees
Space group Cm (No. 8)
Unique sites:
Sr 0.9998 0.0000 0.0000
Sr 0.9999 0.0000 0.4997
Sr 0.0000 0.5000 0.0000
Sr 0.2499 0.2501 0.0001
Ca 0.2498 0.2493 0.5008
Ca 0.4988 0.0000 0.5009
Mn 0.9998 0.2507 0.2521
Mn 0.9998 0.2506 0.7483
Mn 0.2492 0.5000 0.7480
Mn 0.2504 0.0000 0.2519
Mn 0.2504 0.0000 0.7483
Fe 0.2492 0.5000 0.2521
O 0.9999 0.2504 0.9990
O 0.0004 0.2535 0.5000
O 0.1227 0.3737 0.2548
O 0.1243 0.3753 0.7419
O 0.1272 0.1267 0.2548
O 0.1269 0.1269 0.7447
O 0.2480 0.5000 0.5031
O 0.2494 0.5000 0.9958
O 0.2503 0.0000 0.9998
O 0.2535 0.0000 0.4999
O 0.3734 0.3729 0.7447
O 0.3752 0.1243 0.2568
O 0.3755 0.1244 0.7422
O 0.3756 0.3718 0.2539

***

This entry pairs a crystal structure of Sr3Ca5Mn7FeO24 with its computed powder diffractogram. Radiation: Cu Kα X-rays. Structure: a crystal structure in Alexandria, relaxed with GGA+U.
Peak positions follow from Bragg's law for the DFT cell and can differ from measured ones.

Peak list (10 most intense, 15° ≤ 2θ ≤ 90°, by intensity)
| hkl | two_theta | d [Å] | I/Imax |
| --- | --- | --- | --- |
| 2 2 2 | 32.97 | 2.717 | 100 |
| 6 2 2 | 58.88 | 1.569 | 40 |
| 4 4 0 | 47.28 | 1.922 | 29 |
| 0 8 0 | 69.15 | 1.358 | 20 |
| 0 0 4 | 47.40 | 1.918 | 12 |
| 6 6 2 | 78.71 | 1.216 | 10 |
| 4 0 2 | 40.67 | 2.218 | 7 |
| 8 0 4 | 88.07 | 1.109 | 6 |
| 2 2 1 | 25.92 | 3.437 | 5 |
| 1 3 3 | 44.12 | 2.053 | 5 |

Crystal structure
Cell lengths 10.8754, 10.8749, 7.6726 Å; angles 90.00, 90.01, 90.00 degrees
Space group Cm (No. 8)
Unique sites:
Sr 0.0000 0.0000 0.0000
Sr 0.2483 0.2488 0.9924
Ca 0.0009 0.0000 0.5394
Ca 0.2535 0.2523 0.4915
Ca 0.4964 0.0000 0.0473
Ca 0.4975 0.0000 0.4994
Mn 0.2448 0.5000 0.7460
Mn 0.2513 0.5000 0.2520
Mn 0.2521 0.0000 0.7445
Mn 0.4990 0.2461 0.7452
Mn 0.4989 0.2522 0.2534
Fe 0.2466 0.0000 0.2528
O 0.0004 0.2865 0.9930
O 0.1218 0.1245 0.7722
O 0.1222 0.3762 0.2904
O 0.1258 0.1299 0.2193
O 0.1261 0.3719 0.6924
O 0.2095 0.5000 0.9934
O 0.2149 0.0000 0.4990
O 0.2809 0.0000 0.9919
O 0.2880 0.5000 0.4942
O 0.3692 0.3713 0.2097
O 0.3711 0.1274 0.6975
O 0.3733 0.3756 0.7764
O 0.3769 0.1243 0.2815
O 0.4903 0.2875 0.4953

***

This entry pairs a crystal structure of Sr5Ca3MnFe7O24 with its computed powder diffractogram. Radiation: Cu Kα X-rays. Structure: a crystal structure in Alexandria, relaxed with GGA+U.
Peak positions follow from Bragg's law for the DFT cell and can differ from measured ones.

Peak list (10 most intense, 15° ≤ 2θ ≤ 90°, by intensity)
| hkl | two_theta | d [Å] | I/Imax |
| --- | --- | --- | --- |
| 4 0 0 | 32.58 | 2.748 | 100 |
| 4 4 0 | 46.75 | 1.943 | 42 |
| 4 0 4 | 58.14 | 1.587 | 37 |
| 8 0 0 | 68.26 | 1.374 | 23 |
| 8 4 0 | 77.70 | 1.229 | 16 |
| 4 0 2 | 40.19 | 2.244 | 11 |
| 8 0 4 | 86.81 | 1.122 | 8 |
| 2 2 1 | 25.62 | 3.476 | 4 |
| 8 4 2 | 82.28 | 1.172 | 3 |
| 0 0 3 | 34.62 | 2.591 | 2 |

Crystal structure
Cell lengths 10.9944, 10.9951, 7.7701 Å; angles 90.00, 90.00, 90.00 degrees
Space group Cm (No. 8)
Unique sites:
Sr 0.0000 0.0000 0.0000
Sr 0.0000 0.0000 0.4994
Sr 0.2497 0.2497 0.4995
Sr 0.4994 0.0000 0.4994
Ca 0.2497 0.2486 0.0011
Ca 0.4983 0.0000 0.0010
Mn 0.2504 0.0000 0.2477
Fe 0.9997 0.2506 0.2478
Fe 0.9997 0.2507 0.7519
Fe 0.2489 0.5000 0.2474
Fe 0.2490 0.5000 0.7519
Fe 0.2503 0.0000 0.7516
O 0.9997 0.2506 0.5008
O 0.9997 0.2524 0.9987
O 0.1240 0.3754 0.7555
O 0.1246 0.3761 0.2437
O 0.1257 0.1270 0.7541
O 0.1275 0.1256 0.2447
O 0.2474 0.5000 0.9999
O 0.2491 0.5000 0.4993
O 0.2504 0.0000 0.4974
O 0.2525 0.0000 0.0016
O 0.3734 0.3734 0.7540
O 0.3727 0.3741 0.2454
O 0.3743 0.1234 0.2428
O 0.3758 0.1250 0.7557

***

This entry pairs a crystal structure of Ca3Fe2Mo2O12 with its computed powder diffractogram. Radiation: Cu Kα X-rays. Structure: a crystal structure in Alexandria, relaxed with GGA+U.
Peak positions follow from Bragg's law for the DFT cell and can differ from measured ones.

Peak list (10 most intense, 15° ≤ 2θ ≤ 90°, by intensity)
| hkl | two_theta | d [Å] | I/Imax |
| --- | --- | --- | --- |
| 1 1 0 | 22.93 | 3.879 | 100 |
| 1 -1 2 | 32.73 | 2.736 | 92 |
| 1 1 2 | 32.65 | 2.743 | 91 |
| 0 0 4 | 46.84 | 1.940 | 72 |
| 1 -1 0 | 23.04 | 3.861 | 49 |
| 0 2 0 | 32.37 | 2.765 | 47 |
| 2 0 0 | 33.06 | 2.709 | 43 |
| 2 -2 0 | 47.08 | 1.930 | 33 |
| 0 2 4 | 58.04 | 1.589 | 27 |
| 3 -1 2 | 58.83 | 1.570 | 22 |

Crystal structure
Cell lengths 5.4185, 5.5310, 7.7554 Å; angles 89.93, 89.88, 89.71 degrees
Space group P1 (No. 1)
Unique sites:
Ca 0.0000 0.0000 0.0000
Ca 0.0165 0.0913 0.4987
Ca 0.4953 0.5999 0.4997
Fe 0.0073 0.5496 0.2502
Fe 0.5044 0.0599 0.7465
Mo 0.0026 0.5448 0.7589
Mo 0.5121 0.0566 0.2379
O 0.0786 0.5602 0.9919
O 0.2145 0.8300 0.7058
O 0.2221 0.8440 0.2874
O 0.2899 0.3395 0.6929
O 0.3041 0.3277 0.3011
O 0.4273 0.0700 0.0031
O 0.5865 0.0252 0.4936
O 0.7193 0.7752 0.2100
O 0.7313 0.7554 0.7807
O 0.8067 0.2448 0.2135
O 0.8220 0.2446 0.7814
O 0.9211 0.5273 0.5010